Pr3Sm8Ho: calculated powder XRD pattern (Cu Kα (λ = 1.5418 Å)), based on the GGA-PBE geometry in Alexandria.

```
data_Pr3Sm8Ho
_cell_length_a 6.599
_cell_length_b 11.448
_cell_length_c 11.647
_cell_angle_alpha 90.00
_cell_angle_beta 90.00
_cell_angle_gamma 90.00
_space_group_name_H-M_alt 'I m m m'
_space_group_IT_number 71
_space_group_name_Hall '-I 2 2'
loop_
_atom_site_label
_atom_site_fract_x
_atom_site_fract_y
_atom_site_fract_z
Pr1 0.000 0.000 0.000
Pr2 0.000 0.500 0.245
Sm1 0.000 0.166 0.251
Sm2 0.245 0.258 0.000
Ho1 0.000 0.000 0.500
```

The 6 most intense peaks (2θ = 10–90°), sorted by position:
2θ (°), d [Å], I_rel
30.70, 2.912, 39
31.13, 2.873, 100
31.28, 2.860, 27
34.95, 2.567, 44
50.36, 1.812, 25
64.93, 1.436, 27


SbIrO5: calculated powder XRD pattern (Cu Kα (λ = 1.5418 Å)), based on the GGA-PBE geometry in Alexandria.

```
data_SbIrO5
_cell_length_a 3.690
_cell_length_b 6.341
_cell_length_c 7.757
_cell_angle_alpha 90.00
_cell_angle_beta 90.00
_cell_angle_gamma 90.00
_space_group_name_H-M_alt 'I m m m'
_space_group_IT_number 71
_space_group_name_Hall '-I 2 2'
loop_
_atom_site_label
_atom_site_fract_x
_atom_site_fract_y
_atom_site_fract_z
Sb1 0.000 0.000 0.000
Ir1 0.000 0.000 0.500
O1 0.000 0.000 0.261
O2 0.000 0.318 0.000
O3 0.000 0.500 0.500
```

The 6 most intense peaks (2θ = 10–90°), sorted by position:
2θ (°), d [Å], I_rel
22.93, 3.878, 90
27.97, 3.190, 100
28.14, 3.171, 58
36.47, 2.463, 62
36.61, 2.455, 37
55.43, 1.657, 56